[1]
This entry pairs a crystal structure of Na3Y3BiTe8 with its calculated powder diffractogram. Radiation: Cu Ka. Structure: a cell relaxed with GGA-PBE.
Intensities are scaled so that the largest is 100.

Main lines, sorted by position (2θ = 10–80°):
2theta	d [Å]	I_rel	hkl
11.54	7.666	28	0 0 1
28.13	3.172	100	4 0 0
39.28	2.294	39	2 2 2
41.07	2.198	24	6 2 -2
50.60	1.804	13	4 4 0
58.16	1.586	12	8 0 0

Cell and atoms:
a = 15.2394 Å, b = 8.7703 Å, c = 9.2035 Å
α = 90.00°, β = 123.59°, γ = 90.00°
Space group C2/m (No. 12)
Asymmetric unit:
Na 0.0000 0.0000 0.0000 (multiplicity 2)
Na 0.2500 0.2500 0.0000 (multiplicity 4)
Y 0.0000 0.5000 0.5000 (multiplicity 2)
Y 0.2500 0.2500 0.5000 (multiplicity 4)
Bi 0.0000 0.0000 0.5000 (multiplicity 2)
Te 0.0071 0.2560 0.2653 (multiplicity 8)
Te 0.2444 0.5000 0.7333 (multiplicity 4)
Te 0.2488 0.0000 0.7347 (multiplicity 4)

=====

[2]
This entry pairs a crystal structure of RbNaH with its calculated powder diffractogram. Radiation: Cu Ka. Structure: a cell relaxed with GGA-PBE.
Intensities are scaled so that the largest is 100.

Main lines, sorted by position (2θ = 10–80°):
2theta	d [Å]	I_rel	hkl
18.72	4.740	28	0 3 1
19.02	4.666	15	2 0 0
26.35	3.382	16	0 6 0
26.82	3.325	100	0 0 2
47.37	1.919	21	2 3 3
55.27	1.662	13	0 0 4

Cell and atoms:
a = 9.3312 Å, b = 20.2936 Å, c = 6.6443 Å
α = 90.00°, β = 90.00°, γ = 90.00°
Space group Ima2 (No. 46)
Asymmetric unit:
Rb 0.2500 0.0166 0.0000 (multiplicity 4)
Rb 0.2500 0.1854 0.4776 (multiplicity 4)
Rb 0.2500 0.6793 0.9764 (multiplicity 4)
Na 0.0000 0.0000 0.5048 (multiplicity 4)
Na 0.0121 0.1790 0.9742 (multiplicity 8)
H 0.0290 0.7503 0.2252 (multiplicity 8)
H 0.2500 0.1656 0.9795 (multiplicity 4)